Diffraction record for Li2Ga2Hg. The X-ray diffraction stick pattern is simulated, not measured: it uses a DFT-relaxed cell (GGA-PBE, Alexandria) and Cu Kα.

Atomic structure:
Cell: 5.519 5.519 7.297 Å, 108.90 108.90 58.64°
Sites, in units of the cell vectors:
Li 0.054 0.331 0.148
Li 0.331 0.054 0.648
Li 0.669 0.946 0.352
Li 0.946 0.669 0.852
Ga 0.226 0.566 0.552
Ga 0.434 0.774 0.948
Ga 0.566 0.226 0.052
Ga 0.774 0.434 0.448
Hg 0.191 0.809 0.250
Hg 0.809 0.191 0.750

Main lines, in order of falling intensity (2θ from 15° to 90°):
two_theta  Rel. int.
40.94  100
25.32  82
19.87  79
26.46  46
38.65  41
35.76  35
39.20  34
33.15  22
43.65  18
38.94  18

***

Diffraction record for TlCd3Hg. The X-ray diffraction stick pattern is simulated, not measured: it uses a DFT-relaxed cell (GGA-PBE, Alexandria) and Cu Kα.

Atomic structure:
Cell: 5.927 6.058 7.782 Å, 90.00 110.55 90.00°
Sites, in units of the cell vectors:
Tl 0.215 0.250 0.152
Tl 0.785 0.750 0.848
Cd 0.185 0.008 0.689
Cd 0.185 0.492 0.689
Cd 0.356 0.750 0.420
Cd 0.644 0.250 0.580
Cd 0.815 0.508 0.311
Cd 0.815 0.992 0.311
Hg 0.366 0.750 0.045
Hg 0.634 0.250 0.955

Main lines, in order of falling intensity (2θ from 15° to 90°):
two_theta  Rel. int.
33.87  100
37.89  87
28.27  42
35.59  41
33.70  38
36.27  35
32.00  29
32.26  25
38.65  24
59.52  19

***

Diffraction record for Dy4TmAu5. The X-ray diffraction stick pattern is simulated, not measured: it uses a DFT-relaxed cell (GGA-PBE, Alexandria) and Cu Kα.

Atomic structure:
Cell: 3.561 3.561 18.226 Å, 90.00 90.00 90.00°
Sites, in units of the cell vectors:
Dy 0.000 0.000 0.100
Dy 0.000 0.000 0.302
Dy 0.000 0.000 0.698
Dy 0.000 0.000 0.900
Tm 0.000 0.000 0.500
Au 0.500 0.500 0.000
Au 0.500 0.500 0.201
Au 0.500 0.500 0.403
Au 0.500 0.500 0.597
Au 0.500 0.500 0.799

Main lines, in order of falling intensity (2θ from 15° to 90°):
two_theta  Rel. int.
35.23  100
35.66  49
63.78  36
62.95  19
51.31  17
74.50  12
50.05  9
84.19  8
86.16  8
86.41  8

***

Diffraction record for Li6Pr3Hg5. The X-ray diffraction stick pattern is simulated, not measured: it uses a DFT-relaxed cell (GGA-PBE, Alexandria) and Cu Kα.

Atomic structure:
Cell: 4.795 13.418 9.726 Å, 90.00 90.00 90.00°
Sites, in units of the cell vectors:
Li 0.250 0.088 0.106
Li 0.250 0.250 0.573
Li 0.250 0.250 0.926
Li 0.250 0.412 0.106
Li 0.250 0.602 0.463
Li 0.250 0.898 0.463
Li 0.750 0.102 0.537
Li 0.750 0.398 0.537
Li 0.750 0.588 0.894
Li 0.750 0.750 0.074
Li 0.750 0.750 0.427
Li 0.750 0.912 0.894
Pr 0.250 0.041 0.756
Pr 0.250 0.459 0.756
Pr 0.250 0.750 0.740
Pr 0.750 0.250 0.260
Pr 0.750 0.541 0.244
Pr 0.750 0.959 0.244
Hg 0.250 0.098 0.390
Hg 0.250 0.402 0.390
Hg 0.250 0.617 0.024
Hg 0.250 0.750 0.272
Hg 0.250 0.883 0.024
Hg 0.750 0.117 0.976
Hg 0.750 0.250 0.728
Hg 0.750 0.383 0.976
Hg 0.750 0.598 0.610
Hg 0.750 0.902 0.610

Main lines, in order of falling intensity (2θ from 15° to 90°):
two_theta  Rel. int.
33.00  100
28.80  91
32.42  72
21.70  71
37.52  69
64.90  51
27.27  47
33.36  47
50.41  42
42.22  42